The following is a theoretical powder X-ray diffraction pattern of YZr2Be. It was derived from a structure optimized by DFT (PBE), using a wavelength of 1.5418 Å.
Neutral-atom scattering factors, no anomalous dispersion.

Cell lengths 4.936, 4.936, 4.936 Å; angles 60.00, 60.00, 60.00 degrees
Element x y z (fractional)
Y1 0.000 0.000 0.000
Zr1 0.250 0.250 0.250
Zr2 0.500 0.500 0.500
Be1 0.750 0.750 0.750

Most intense lines, 2θ = 5–70°, low angle first:
22.06°, rel. 23.1
25.52°, rel. 11.4
36.41°, rel. 100.0
42.98°, rel. 11.8
52.44°, rel. 17.0
57.56°, rel. 4.9
59.20°, rel. 4.2
65.51°, rel. 34.0


The following is a theoretical powder X-ray diffraction pattern of TbSmBr3N. It was derived from a structure optimized by DFT (PBE), using a wavelength of 1.5418 Å.
Neutral-atom scattering factors, no anomalous dispersion.

Cell lengths 9.447, 9.447, 11.747 Å; angles 123.81, 123.81, 24.15 degrees
Element x y z (fractional)
Tb1 0.074 0.074 0.460
Tb2 0.926 0.926 0.540
Sm1 0.364 0.364 0.215
Sm2 0.636 0.636 0.785
Br1 0.167 0.167 0.011
Br2 0.287 0.287 0.384
Br3 0.461 0.461 0.748
Br4 0.539 0.539 0.252
Br5 0.713 0.713 0.616
Br6 0.833 0.833 0.989
N1 0.073 0.073 0.651
N2 0.927 0.927 0.349

Most intense lines, 2θ = 5–70°, low angle first:
9.15°, rel. 37.6
9.90°, rel. 100.0
26.26°, rel. 42.8
27.60°, rel. 39.8
31.00°, rel. 35.3
31.86°, rel. 55.3
35.04°, rel. 25.2
41.37°, rel. 27.5


The following is a theoretical powder X-ray diffraction pattern of MgCu5Ge2. It was derived from a structure optimized by DFT (PBE), using a wavelength of 1.5418 Å.
Neutral-atom scattering factors, no anomalous dispersion.

Cell lengths 4.258, 4.258, 6.052 Å; angles 90.00, 90.00, 90.00 degrees
Element x y z (fractional)
Mg1 0.000 0.000 0.000
Cu1 0.000 0.500 0.265
Cu2 0.000 0.500 0.735
Cu3 0.500 0.000 0.265
Cu4 0.500 0.000 0.735
Cu5 0.500 0.500 0.500
Ge1 0.000 0.000 0.500
Ge2 0.500 0.500 0.000

Most intense lines, 2θ = 5–70°, low angle first:
14.64°, rel. 6.2
20.86°, rel. 2.2
25.58°, rel. 4.4
42.35°, rel. 100.0
42.46°, rel. 50.5
54.77°, rel. 2.4
61.26°, rel. 7.4
61.61°, rel. 15.7


The following is a theoretical powder X-ray diffraction pattern of NbFeReAs. It was derived from a structure optimized by DFT (PBE), using a wavelength of 1.5418 Å.
Neutral-atom scattering factors, no anomalous dispersion.

Cell lengths 4.358, 4.358, 4.358 Å; angles 60.00, 60.00, 60.00 degrees
Element x y z (fractional)
Nb1 0.000 0.000 0.000
Fe1 0.750 0.750 0.750
Re1 0.250 0.250 0.250
As1 0.500 0.500 0.500

Most intense lines, 2θ = 5–70°, low angle first:
25.03°, rel. 22.5
28.98°, rel. 3.6
41.44°, rel. 100.0
49.02°, rel. 11.8
51.36°, rel. 1.0
60.05°, rel. 16.5
66.08°, rel. 5.1
68.03°, rel. 1.4